1.
Theoretical powder X-ray diffraction pattern
Compound: Li2MnF5
Radiation: copper Kα
Structure: a cell relaxed with GGA+U

abc: 8.517 7.441 6.068
angles: 90.00 90.00 90.00
Space group Pna2_1 (No. 33)
Asymmetric unit:
Li  0.131  0.078  0.000
Li  0.137  0.080  0.512
Mn  0.004  0.483  0.264
F  0.009  0.004  0.257
F  0.072  0.340  0.998
F  0.074  0.341  0.529
F  0.190  0.626  0.766
F  0.202  0.587  0.262

Principal peaks in the range 15 to 90 degrees two-theta, by angle:
Position (°2θ)	Rel. int.	(hkl)
15.8	100	1 1 0
20.9	35	2 0 0
23.9	28	0 2 0
29.4	14	0 0 2
31.9	15	2 2 0
38.3	26	0 2 2
38.4	12	2 1 2
39.8	10	1 2 2
44.0	22	2 2 2
48.6	11	1 3 2
52.5	12	4 0 2
62.5	12	2 4 2

---

2.
Theoretical powder X-ray diffraction pattern
Compound: LiFeMo2O8
Radiation: copper Kα
Structure: a cell relaxed with GGA+U

abc: 6.868 7.262 7.488
angles: 91.02 110.18 105.01
Space group P-1 (No. 2)
Asymmetric unit:
Li  0.227  0.051  0.248
Fe  0.404  0.601  0.819
Mo  0.178  0.534  0.285
Mo  0.333  0.077  0.787
O  0.094  0.987  0.831
O  0.111  0.549  0.843
O  0.242  0.541  0.538
O  0.253  0.076  0.540
O  0.281  0.772  0.241
O  0.311  0.368  0.225
O  0.425  0.340  0.889
O  0.481  0.887  0.844

Principal peaks in the range 15 to 90 degrees two-theta, by angle:
Position (°2θ)	Rel. int.	(hkl)
15.3	14	1 0 -1
18.2	18	-1 1 1
21.5	21	1 1 -1
22.9	21	1 -1 1
25.6	100	0 0 2
27.0	43	2 0 -1
28.5	14	1 1 1
32.9	12	2 -2 0
34.2	13	0 2 -2
34.8	11	-1 2 2
42.1	15	2 2 -1
50.3	14	1 -4 0

---

3.
Theoretical powder X-ray diffraction pattern
Compound: KMnO2
Radiation: copper Kα
Structure: a cell relaxed with GGA+U

abc: 13.097 2.943 6.360
angles: 90.00 90.00 90.00
Space group Pnma (No. 62)
Asymmetric unit:
K  0.138  0.250  0.016
Mn  0.101  0.250  0.509
O  0.046  0.750  0.684
O  0.171  0.750  0.369

Principal peaks in the range 15 to 90 degrees two-theta, by angle:
Position (°2θ)	Rel. int.	(hkl)
15.5	79	1 0 1
27.2	75	4 0 0
28.1	65	0 0 2
30.7	13	4 0 1
33.4	59	2 1 0
39.5	67	4 0 2
44.2	100	2 1 2
52.2	23	6 1 0
60.3	13	6 1 2
60.4	13	7 1 1
68.6	24	2 1 4
77.1	12	4 2 2

---

4.
Theoretical powder X-ray diffraction pattern
Compound: Li9Mn15O32
Radiation: copper Kα
Structure: a cell relaxed with GGA+U

abc: 8.364 8.405 10.231
angles: 65.80 66.03 89.84
Space group P1 (No. 1)
Asymmetric unit:
Li  0.000  0.000  0.000
Li  0.063  0.308  0.625
Li  0.183  0.436  0.878
Li  0.311  0.060  0.121
Li  0.430  0.194  0.378
Li  0.569  0.809  0.621
Li  0.688  0.940  0.880
Li  0.820  0.569  0.120
Li  0.935  0.694  0.372
Mn  0.001  0.002  0.499
Mn  0.120  0.385  0.249
Mn  0.129  0.883  0.746
Mn  0.249  0.756  0.994
Mn  0.250  0.753  0.498
Mn  0.366  0.630  0.251
Mn  0.376  0.122  0.748
Mn  0.498  0.502  0.998
Mn  0.504  0.504  0.499
Mn  0.627  0.878  0.252
Mn  0.632  0.368  0.750
Mn  0.747  0.243  0.005
Mn  0.752  0.249  0.501
Mn  0.872  0.124  0.250
Mn  0.879  0.622  0.748
O  0.011  0.763  0.510
O  0.033  0.767  0.970
O  0.094  0.119  0.267
O  0.123  0.652  0.732
O  0.128  0.646  0.217
O  0.155  0.110  0.741
O  0.230  0.982  0.507
O  0.252  0.532  0.488
O  0.262  0.516  0.004
O  0.264  0.993  0.973
O  0.344  0.396  0.258
O  0.362  0.886  0.754
O  0.383  0.859  0.266
O  0.402  0.365  0.735
O  0.477  0.731  0.012
O  0.485  0.748  0.490
O  0.517  0.257  0.510
O  0.520  0.270  0.984
O  0.620  0.142  0.735
O  0.621  0.641  0.268
O  0.640  0.120  0.241
O  0.652  0.600  0.739
O  0.735  0.007  0.027
O  0.742  0.490  0.985
O  0.750  0.466  0.520
O  0.770  0.022  0.490
O  0.848  0.348  0.776
O  0.849  0.897  0.257
O  0.876  0.352  0.267
O  0.907  0.891  0.730
O  0.965  0.239  0.024
O  0.987  0.237  0.491

Principal peaks in the range 15 to 90 degrees two-theta, by angle:
Position (°2θ)	Rel. int.	(hkl)
18.3	100	-1 1 1
35.4	13	1 3 1
35.5	16	-1 1 3
35.6	17	3 1 3
37.2	7	-2 2 2
43.0	18	0 4 2
43.3	36	4 0 2
47.3	6	3 -3 1
57.2	8	-1 1 5
57.3	6	5 1 4
62.6	11	4 4 4
62.8	16	0 4 6

---

5.
Theoretical powder X-ray diffraction pattern
Compound: Li7Mn5O12
Radiation: copper Kα
Structure: a cell relaxed with GGA+U

abc: 5.153 8.810 9.668
angles: 90.00 99.80 90.00
Space group C2 (No. 5)
Asymmetric unit:
Li  0.000  0.000  0.000
Li  0.000  0.177  0.500
Li  0.000  0.664  0.000
Li  0.237  0.837  0.234
Li  0.238  0.508  0.235
Mn  0.000  0.341  0.000
Mn  0.000  0.507  0.500
Mn  0.000  0.848  0.500
Mn  0.248  0.165  0.240
O  0.092  0.669  0.374
O  0.094  0.177  0.869
O  0.123  0.494  0.883
O  0.150  0.351  0.393
O  0.155  0.011  0.379
O  0.155  0.825  0.877

Principal peaks in the range 15 to 90 degrees two-theta, by angle:
Position (°2θ)	Rel. int.	(hkl)
20.2	12	1 1 0
21.0	100	1 1 -1
27.6	51	0 2 2
37.3	19	1 1 3
41.0	11	2 2 0
43.1	42	2 0 2
43.7	84	1 3 -3
62.7	22	3 3 -1
63.3	11	0 6 0
63.5	21	1 3 5
63.6	11	2 0 -6
79.7	9	2 6 2